For Pr3Nd2Sn4, the PBE geometry in Alexandria gives the simulated XRD peak list in this record (Cu Kα).

Top 6 peaks for 2θ = 10–90°, sorted by position:
29.48 deg, I = 100, hkl 2 2 -1; 30.07 deg, I = 65, hkl 1 2 -2; 30.49 deg, I = 86, hkl 2 2 0; 31.08 deg, I = 96, hkl 1 1 2; 33.43 deg, I = 93, hkl 3 0 0; 34.11 deg, I = 75, hkl 1 1 -3

Structural model:
```
18
Lattice="8.673 0.000 0.000 0.000 8.575 0.000 -3.105 0.000 7.696" Properties=species:S:1:pos:R:3 pbc="T T T"
Pr 0.000 0.000 0.000
Pr -1.552 4.288 3.848
Pr -0.141 1.435 5.954
Pr 1.411 2.853 2.106
Pr 4.157 5.722 5.591
Pr 5.709 7.141 1.743
Nd -0.306 5.842 7.227
Nd 1.247 7.021 3.378
Nd 4.321 1.555 4.318
Nd 5.874 2.733 0.470
Sn -0.296 5.421 0.999
Sn -1.848 7.442 4.847
Sn 3.058 0.276 1.359
Sn 1.506 4.012 5.207
Sn 4.063 4.563 2.490
Sn 2.510 8.299 6.338
Sn 7.416 1.133 2.849
Sn 5.864 3.154 6.697
```